Entry 1:
Structure and computed powder XRD pattern of NaYMg6 (the GGA-PBE geometry in the Materials Project; Cu Kα X-rays).

Most intense lines, 2θ from 10° to 90°, in order of rising 2θ:
hkl 0 1 1, 5.851 Å, I 32
hkl 1 1 1, 3.902 Å, I 25
hkl 0 2 2, 2.926 Å, I 28
hkl 2 0 0, 2.618 Å, I 35
hkl 1 2 2, 2.554 Å, I 100
hkl 1 0 4, 2.526 Å, I 48
hkl 2 2 2, 1.951 Å, I 19
hkl 0 2 6, 1.672 Å, I 20
hkl 3 2 2, 1.499 Å, I 18
hkl 2 2 6, 1.409 Å, I 33

Atomic structure:
```
data_NaYMg6
_cell_length_a 5.237
_cell_length_b 6.790
_cell_length_c 11.532
_cell_angle_alpha 90.00
_cell_angle_beta 90.00
_cell_angle_gamma 90.00
_symmetry_space_group_name_H-M 'A m m 2'
_symmetry_Int_Tables_number 38
_symmetry_space_group_name_Hall 'A 2 -2'
loop_
_atom_site_label
_atom_site_type_symbol
_atom_site_fract_x
_atom_site_fract_y
_atom_site_fract_z
_atom_site_occupancy
Na1 Na 0.000 0.000 0.000 1
Y1 Y 0.000 0.000 0.501 1
Mg1 Mg 0.000 0.244 0.247 1
Mg2 Mg 0.500 0.000 0.330 1
Mg3 Mg 0.500 0.000 0.829 1
Mg4 Mg 0.500 0.250 0.086 1
```

Entry 2:
Structure and computed powder XRD pattern of Ga2P3H11O13 (the GGA-PBE geometry in the Materials Project; Cu Kα X-rays).

Most intense lines, 2θ from 10° to 90°, in order of rising 2θ:
hkl 0 0 1, 7.622 Å, I 21
hkl 1 0 -1, 6.585 Å, I 100
hkl 0 1 1, 6.094 Å, I 65
hkl 1 1 0, 5.893 Å, I 39
hkl 1 1 -1, 5.524 Å, I 54
hkl 1 0 1, 4.493 Å, I 82
hkl 1 2 0, 4.154 Å, I 29
hkl 1 2 -1, 4.020 Å, I 56
hkl 1 3 -1, 3.008 Å, I 26
hkl 2 2 -2, 2.762 Å, I 54

Atomic structure:
```
data_Ga2P3H11O13
_cell_length_a 7.776
_cell_length_b 10.145
_cell_length_c 8.187
_cell_angle_alpha 90.00
_cell_angle_beta 111.41
_cell_angle_gamma 90.00
_symmetry_space_group_name_H-M 'P 1 21 1'
_symmetry_Int_Tables_number 4
_symmetry_space_group_name_Hall 'P 2yb'
loop_
_atom_site_label
_atom_site_type_symbol
_atom_site_fract_x
_atom_site_fract_y
_atom_site_fract_z
_atom_site_occupancy
Ga1 Ga 0.065 0.000 0.025 1
Ga2 Ga 0.411 0.228 0.624 1
P1 P 0.223 0.281 0.921 1
P2 P 0.251 0.726 0.993 1
P3 P 0.457 0.028 0.345 1
H1 H 0.042 0.264 0.461 1
H2 H 0.111 0.839 0.367 1
H3 H 0.112 0.180 0.332 1
H4 H 0.165 0.419 0.303 1
H5 H 0.237 0.558 0.246 1
H6 H 0.263 0.761 0.514 1
H7 H 0.268 0.970 0.601 1
H8 H 0.280 0.048 0.777 1
H9 H 0.346 0.329 0.083 1
H10 H 0.380 0.694 0.916 1
H11 H 0.473 0.542 0.790 1
O1 O 0.041 0.356 0.878 1
O2 O 0.084 0.634 0.909 1
O3 O 0.133 0.494 0.222 1
O4 O 0.149 0.250 0.423 1
O5 O 0.156 0.820 0.495 1
O6 O 0.202 0.131 0.937 1
O7 O 0.206 0.871 0.946 1
O8 O 0.245 0.020 0.265 1
O9 O 0.311 0.309 0.785 1
O10 O 0.331 0.044 0.682 1
O11 O 0.342 0.698 0.192 1
O12 O 0.456 0.403 0.551 1
O13 O 0.483 0.653 0.540 1
```

Entry 3:
Structure and computed powder XRD pattern of HoNp3 (the GGA-PBE geometry in the Materials Project; Cu Kα X-rays).

Most intense lines, 2θ from 10° to 90°, in order of rising 2θ:
hkl 1 1 2, 2.638 Å, I 100
hkl 0 0 4, 2.293 Å, I 17
hkl 2 0 0, 2.281 Å, I 33
hkl 2 0 4, 1.617 Å, I 24
hkl 2 2 0, 1.613 Å, I 12
hkl 1 1 6, 1.381 Å, I 14
hkl 3 1 2, 1.376 Å, I 28
hkl 2 2 4, 1.319 Å, I 12
hkl 0 0 8, 1.147 Å, I 2
hkl 4 0 0, 1.140 Å, I 4

Atomic structure:
```
data_HoNp3
_cell_length_a 4.561
_cell_length_b 4.561
_cell_length_c 9.172
_cell_angle_alpha 90.00
_cell_angle_beta 90.00
_cell_angle_gamma 90.00
_symmetry_space_group_name_H-M 'I 4/m m m'
_symmetry_Int_Tables_number 139
_symmetry_space_group_name_Hall '-I 4 2'
loop_
_atom_site_label
_atom_site_type_symbol
_atom_site_fract_x
_atom_site_fract_y
_atom_site_fract_z
_atom_site_occupancy
Ho1 Ho 0.000 0.000 0.000 1
Np1 Np 0.000 0.000 0.500 1
Np2 Np 0.000 0.500 0.250 1
```